The following is a theoretical XRD peak list of Na2NpUS4. It was derived from the PBE geometry in Alexandria, using Cu Kα.

Top 8 peaks for 10 to 90 degrees two-theta, by intensity:
Position (°2θ)	d (Å)	I/Imax
13.19	6.710	100.0
31.45	2.845	89.9
26.22	3.399	55.6
27.34	3.262	42.5
44.58	2.033	33.4
45.57	1.991	32.0
47.65	1.909	26.0
34.24	2.619	25.4

Cell and atoms:
Cell lengths 6.894, 3.983, 7.092 Å; angles 90.00, 108.89, 90.00 degrees
Sites, in units of the cell vectors:
Na  0.000  0.000  0.000
Na  0.500  0.500  0.000
Np  0.000  0.500  0.500
U  0.500  0.000  0.500
S  0.245  0.000  0.729
S  0.259  0.500  0.270
S  0.741  0.500  0.730
S  0.755  0.000  0.271

=====

The following is a theoretical XRD peak list of GaPPt2. It was derived from the PBE geometry in Alexandria, using Cu Kα.

Top 8 peaks for 10 to 90 degrees two-theta, by intensity:
Position (°2θ)	d (Å)	I/Imax
32.64	2.743	100.0
49.79	1.831	45.6
46.51	1.952	37.8
22.62	3.931	30.8
73.31	1.291	18.0
46.19	1.965	14.8
82.34	1.171	13.4
67.64	1.385	12.5

Cell and atoms:
Cell lengths 8.389, 8.389, 8.389 Å; angles 151.43, 151.43, 40.85 degrees
Sites, in units of the cell vectors:
Ga  0.000  0.000  0.000
Ga  0.750  0.250  0.500
P  0.250  0.750  0.500
P  0.500  0.500  0.000
Pt  0.150  0.625  0.025
Pt  0.375  0.400  0.525
Pt  0.600  0.125  0.975
Pt  0.875  0.850  0.475

=====

The following is a theoretical XRD peak list of In3Ru. It was derived from the PBE geometry in Alexandria, using Cu Kα.

Top 8 peaks for 10 to 90 degrees two-theta, by intensity:
Position (°2θ)	d (Å)	I/Imax
40.05	2.251	100.0
37.34	2.408	98.2
37.78	2.381	81.9
41.73	2.164	81.5
36.15	2.485	78.8
31.87	2.808	72.4
39.83	2.263	61.0
29.33	3.046	55.5

Cell and atoms:
Cell lengths 7.451, 8.547, 5.332 Å; angles 90.00, 90.00, 90.00 degrees
Sites, in units of the cell vectors:
In  0.015  0.250  0.098
In  0.169  0.051  0.622
In  0.169  0.449  0.622
In  0.331  0.551  0.122
In  0.331  0.949  0.122
In  0.485  0.750  0.598
In  0.515  0.250  0.402
In  0.669  0.051  0.878
In  0.669  0.449  0.878
In  0.831  0.551  0.378
In  0.831  0.949  0.378
In  0.985  0.750  0.902
Ru  0.132  0.750  0.410
Ru  0.368  0.250  0.910
Ru  0.632  0.750  0.090
Ru  0.868  0.250  0.590

=====

The following is a theoretical XRD peak list of Pm5Sb2Ir. It was derived from the PBE geometry in Alexandria, using Cu Kα.

Top 8 peaks for 10 to 90 degrees two-theta, by intensity:
Position (°2θ)	d (Å)	I/Imax
30.23	2.956	100.0
35.45	2.532	91.4
31.79	2.815	60.7
28.41	3.142	58.3
32.82	2.729	46.1
41.96	2.153	41.1
45.22	2.005	37.9
32.55	2.751	22.7

Cell and atoms:
Cell lengths 5.720, 5.720, 16.388 Å; angles 90.00, 90.00, 117.76 degrees
Sites, in units of the cell vectors:
Pm  0.074  0.926  0.600
Pm  0.074  0.926  0.900
Pm  0.253  0.747  0.250
Pm  0.408  0.592  0.624
Pm  0.408  0.592  0.876
Pm  0.592  0.408  0.124
Pm  0.592  0.408  0.376
Pm  0.747  0.253  0.750
Pm  0.926  0.074  0.100
Pm  0.926  0.074  0.400
Sb  0.266  0.734  0.060
Sb  0.266  0.734  0.440
Sb  0.734  0.266  0.560
Sb  0.734  0.266  0.940
Ir  0.203  0.797  0.750
Ir  0.797  0.203  0.250

=====

The following is a theoretical XRD peak list of CdFe2Mo. It was derived from the PBE geometry in Alexandria, using Cu Kα.

Top 8 peaks for 10 to 90 degrees two-theta, by intensity:
Position (°2θ)	d (Å)	I/Imax
39.66	2.273	100.0
46.47	1.954	55.0
40.83	2.210	22.0
67.00	1.397	20.3
30.33	2.947	17.2
81.52	1.181	16.0
41.00	2.201	13.0
80.75	1.190	11.4

Cell and atoms:
Cell lengths 8.987, 8.987, 8.987 Å; angles 17.88, 17.88, 17.88 degrees
Sites, in units of the cell vectors:
Cd  0.000  0.000  0.000
Fe  0.244  0.244  0.244
Fe  0.509  0.509  0.509
Mo  0.765  0.765  0.765

=====

The following is a theoretical XRD peak list of La3B4C4. It was derived from the PBE geometry in Alexandria, using Cu Kα.

Top 8 peaks for 10 to 90 degrees two-theta, by intensity:
Position (°2θ)	d (Å)	I/Imax
28.14	3.171	100.0
27.13	3.287	27.9
35.38	2.537	23.2
40.17	2.245	21.8
28.53	3.129	20.1
33.58	2.669	19.9
18.87	4.703	18.5
53.32	1.718	18.0

Cell and atoms:
Cell lengths 7.261, 7.261, 7.261 Å; angles 139.10, 136.87, 60.95 degrees
Sites, in units of the cell vectors:
La  0.000  0.000  0.000
La  0.283  0.783  0.500
La  0.717  0.217  0.500
B  0.075  0.423  0.653
B  0.230  0.577  0.653
B  0.770  0.423  0.347
B  0.925  0.577  0.347
C  0.202  0.202  0.000
C  0.366  0.500  0.866
C  0.634  0.500  0.134
C  0.798  0.798  0.000

=====

The following is a theoretical XRD peak list of RbIn4Ge3. It was derived from the PBE geometry in Alexandria, using Cu Kα.

Top 8 peaks for 10 to 90 degrees two-theta, by intensity:
Position (°2θ)	d (Å)	I/Imax
38.29	2.351	100.0
36.95	2.433	91.5
27.52	3.241	62.8
25.98	3.430	53.5
31.94	2.802	50.8
67.47	1.388	35.9
53.26	1.720	31.1
70.09	1.343	26.3

Cell and atoms:
Cell lengths 4.865, 4.865, 9.659 Å; angles 90.00, 90.00, 90.00 degrees
Sites, in units of the cell vectors:
Rb  0.000  0.000  0.000
In  0.000  0.500  0.329
In  0.000  0.500  0.671
In  0.500  0.000  0.329
In  0.500  0.000  0.671
Ge  0.000  0.000  0.500
Ge  0.500  0.500  0.169
Ge  0.500  0.500  0.831

=====

The following is a theoretical XRD peak list of Th6Bi3Os. It was derived from the PBE geometry in Alexandria, using Cu Kα.

Top 8 peaks for 10 to 90 degrees two-theta, by intensity:
Position (°2θ)	d (Å)	I/Imax
31.91	2.805	100.0
31.47	2.843	81.6
35.12	2.555	71.3
29.52	3.026	61.3
44.44	2.039	51.0
34.96	2.567	47.2
32.01	2.796	45.4
24.69	3.606	39.2

Cell and atoms:
Cell lengths 11.535, 4.077, 13.980 Å; angles 90.00, 104.37, 90.00 degrees
Sites, in units of the cell vectors:
Th  0.025  0.250  0.333
Th  0.053  0.250  0.900
Th  0.280  0.750  0.335
Th  0.292  0.750  0.753
Th  0.409  0.250  0.573
Th  0.414  0.750  0.133
Th  0.586  0.250  0.867
Th  0.591  0.750  0.427
Th  0.708  0.250  0.247
Th  0.720  0.250  0.665
Th  0.947  0.750  0.100
Th  0.975  0.750  0.667
Bi  0.159  0.750  0.520
Bi  0.176  0.250  0.148
Bi  0.341  0.250  0.941
Bi  0.659  0.750  0.059
Bi  0.824  0.750  0.852
Bi  0.841  0.250  0.480
Os  0.467  0.250  0.292
Os  0.533  0.750  0.708